For Pu2Ag2O7, a DFT-relaxed cell (PBE, Alexandria) gives the computed XRD peak list in this record (Cu Kα X-rays).
No peak broadening, texture or thermal motion is included.

Largest 12 diffraction maxima, by angle, 10 to 90 degrees two-theta:
2θ/deg	intensity	index
19.2	100	0 4 1
20.4	34	1 1 0
23.7	43	0 6 1
26.8	34	1 3 1
29.5	73	1 5 1
34.6	33	1 9 0
36.4	30	1 1 2
41.1	25	2 0 0
43.4	26	0 10 2
45.7	24	2 4 1
48.0	13	2 6 1
61.3	18	2 10 2

Atomic structure:
```
data_Pu2Ag2O7
_symmetry_space_group_name_H-M 'C m c 21'
_symmetry_Int_Tables_number 36
_cell_length_a 4.3943
_cell_length_b 28.9380
_cell_length_c 6.0038
_cell_angle_alpha 90.00
_cell_angle_beta 90.00
_cell_angle_gamma 90.00
loop_
_symmetry_equiv_pos_as_xyz
'x,y,z'
'-x,-y,z+1/2'
'-x,y,z'
'x,-y,z+1/2'
'x+1/2,y+1/2,z'
'-x+1/2,-y+1/2,z+1/2'
'-x+1/2,y+1/2,z'
'x+1/2,-y+1/2,z+1/2'
loop_
_atom_site_label
_atom_site_type_symbol
_atom_site_fract_x
_atom_site_fract_y
_atom_site_fract_z
Pu1 Pu 0.0000 0.0486 0.0000
Pu2 Pu 0.0000 0.1561 0.5436
Ag1 Ag 0.0000 0.2736 0.2458
Ag2 Ag 0.0000 0.4006 0.7848
O1 O 0.0000 0.0066 0.7239
O2 O 0.0000 0.0974 0.2874
O3 O 0.0000 0.1112 0.7801
O4 O 0.0000 0.1968 0.3036
O5 O 0.0000 0.2108 0.7577
O6 O 0.0000 0.3457 0.0376
O7 O 0.0000 0.4492 0.5029
```